[1]
Calculated powder XRD pattern
Compound: TbSmSbS
Radiation: Cu Kα (λ = 1.5418 Å)
Structure: a cell relaxed with PBE
Neutral-atom scattering factors, no anomalous dispersion.

Peak list (12 most intense, 10° ≤ 2θ ≤ 80°, sorted by position)
d (Å)	intensity
3.510	21
3.386	76
2.777	100
2.369	70
2.052	57
1.853	13
1.755	13
1.650	21
1.551	19
1.375	30
1.286	18
1.237	18

Structural model:
a = 4.1048 Å, b = 4.1048 Å, c = 22.2342 Å
α = 90.00°, β = 90.00°, γ = 120.00°
Space group R3m (No. 160, hexagonal axes)
Inequivalent atoms, fractional coordinates:
Tb (0.0000, 0.0000, 0.0000) [3 per cell]
Sm (0.0000, 0.0000, 0.8383) [3 per cell]
Sb (0.0000, 0.0000, 0.4169) [3 per cell]
S (0.0000, 0.0000, 0.5899) [3 per cell]

***

[2]
Calculated powder XRD pattern
Compound: Sm6Sb2TeS3
Radiation: Cu Kα (λ = 1.5418 Å)
Structure: a cell relaxed with PBE
Neutral-atom scattering factors, no anomalous dispersion.

Peak list (12 most intense, 10° ≤ 2θ ≤ 80°, sorted by position)
d (Å)	intensity
3.594	9
3.446	14
2.997	100
2.756	14
2.133	33
2.106	38
1.723	19
1.564	9
1.498	11
1.347	12
1.333	16
1.221	7

Structural model:
a = 18.5552 Å, b = 4.2090 Å, c = 8.5367 Å
α = 90.00°, β = 104.29°, γ = 90.00°
Space group C2/m (No. 12)
Inequivalent atoms, fractional coordinates:
Sm (0.0060, 0.0000, 0.2251) [4 per cell]
Sm (0.1608, 0.5000, 0.0972) [4 per cell]
Sm (0.1756, 0.5000, 0.5712) [4 per cell]
Sb (0.1659, 0.0000, 0.8318) [4 per cell]
Te (0.0000, 0.5000, 0.5000) [2 per cell]
S (0.0000, 0.5000, 0.0000) [2 per cell]
S (0.1658, 0.0000, 0.3341) [4 per cell]

***

[3]
Calculated powder XRD pattern
Compound: SmTl2SbS4
Radiation: Cu Kα (λ = 1.5418 Å)
Structure: a cell relaxed with PBE
Neutral-atom scattering factors, no anomalous dispersion.

Peak list (12 most intense, 10° ≤ 2θ ≤ 80°, sorted by position)
d (Å)	intensity
3.456	88
2.993	100
2.117	61
2.112	12
1.806	32
1.803	16
1.730	13
1.726	13
1.497	12
1.375	10
1.339	26
1.223	12

Structural model:
a = 8.4486 Å, b = 8.4769 Å, c = 11.9814 Å
α = 90.00°, β = 90.00°, γ = 90.00°
Space group Imma (No. 74)
Inequivalent atoms, fractional coordinates:
Sm (0.2500, 0.2500, 0.2500) [4 per cell]
Tl (0.0000, 0.0000, 0.0000) [4 per cell]
Tl (0.2500, 0.2500, 0.7500) [4 per cell]
Sb (0.0000, 0.0000, 0.5000) [4 per cell]
S (0.0000, 0.0288, 0.2668) [8 per cell]
S (0.2204, 0.2500, 0.4862) [8 per cell]